# Li2SmBiS
Computed powder X-ray diffraction pattern, Cu Kα, 1.54184 Å. Input: a DFT-relaxed cell (PBE, Alexandria).

Main lines, low angle first (10° ≤ 2θ ≤ 90°):
| two_theta | I_rel |
| --- | --- |
| 15.72 | 100 |
| 27.27 | 85 |
| 31.63 | 88 |
| 31.75 | 30 |
| 38.95 | 37 |
| 42.30 | 87 |
| 51.09 | 31 |
| 66.02 | 37 |

Structural model:
Unit cell a=4.6249 b=4.6249 c=5.6371 alpha=90.00 beta=90.00 gamma=90.00
Atoms (fractional coordinates):
1 Li 0.0000 0.5000 0.0000
2 Li 0.5000 0.0000 0.0000
3 Sm 0.0000 0.0000 0.5500
4 Bi 0.5000 0.5000 0.5927
5 S 0.0000 0.0000 0.0642

---

# LiSnBiS3
Computed powder X-ray diffraction pattern, Cu Kα, 1.54184 Å. Input: a DFT-relaxed cell (PBE, Alexandria).

Main lines, low angle first (10° ≤ 2θ ≤ 90°):
| two_theta | I_rel |
| --- | --- |
| 10.51 | 50 |
| 20.73 | 57 |
| 21.11 | 43 |
| 24.63 | 88 |
| 30.58 | 52 |
| 31.27 | 100 |
| 31.90 | 36 |
| 42.12 | 39 |

Structural model:
Unit cell a=8.5257 b=3.9999 c=8.6810 alpha=90.00 beta=99.22 gamma=90.00
Atoms (fractional coordinates):
1 Li 0.0886 0.2500 0.0775
2 Li 0.9114 0.7500 0.9225
3 Sn 0.2658 0.7500 0.7856
4 Sn 0.7342 0.2500 0.2144
5 Bi 0.3273 0.7500 0.3230
6 Bi 0.6727 0.2500 0.6770
7 S 0.0116 0.7500 0.2023
8 S 0.3209 0.2500 0.5838
9 S 0.3804 0.2500 0.1245
10 S 0.6196 0.7500 0.8755
11 S 0.6791 0.7500 0.4162
12 S 0.9884 0.2500 0.7977

---

# Li4SnBi3S8
Computed powder X-ray diffraction pattern, Cu Kα, 1.54184 Å. Input: a DFT-relaxed cell (PBE, Alexandria).

Main lines, low angle first (10° ≤ 2θ ≤ 90°):
| two_theta | I_rel |
| --- | --- |
| 14.02 | 100 |
| 26.49 | 77 |
| 27.74 | 31 |
| 32.29 | 93 |
| 35.36 | 40 |
| 45.98 | 34 |
| 46.65 | 33 |
| 48.30 | 29 |

Structural model:
Unit cell a=7.7889 b=7.7889 c=7.7889 alpha=60.91 beta=60.91 gamma=60.91
Atoms (fractional coordinates):
1 Li 0.0000 0.0000 0.0000
2 Li 0.0000 0.5000 0.5000
3 Li 0.5000 0.0000 0.5000
4 Li 0.5000 0.5000 0.0000
5 Sn 0.5000 0.5000 0.5000
6 Bi 0.0000 0.0000 0.5000
7 Bi 0.0000 0.5000 0.0000
8 Bi 0.5000 0.0000 0.0000
9 S 0.2499 0.2499 0.7393
10 S 0.2499 0.7393 0.2499
11 S 0.2550 0.2550 0.2550
12 S 0.2607 0.7501 0.7501
13 S 0.7393 0.2499 0.2499
14 S 0.7450 0.7450 0.7450
15 S 0.7501 0.2607 0.7501
16 S 0.7501 0.7501 0.2607

---

# Sr2LiBiS4
Computed powder X-ray diffraction pattern, Cu Kα, 1.54184 Å. Input: a DFT-relaxed cell (PBE, Alexandria).

Main lines, low angle first (10° ≤ 2θ ≤ 90°):
| two_theta | I_rel |
| --- | --- |
| 13.02 | 39 |
| 15.29 | 37 |
| 25.35 | 23 |
| 26.22 | 33 |
| 26.60 | 32 |
| 30.45 | 100 |
| 30.86 | 48 |
| 43.90 | 71 |

Structural model:
Unit cell a=8.2504 b=8.2504 c=8.2504 alpha=120.29 beta=118.86 gamma=90.75
Atoms (fractional coordinates):
1 Sr 0.0000 0.0000 0.0000
2 Sr 0.5000 0.0000 0.0000
3 Sr 0.5000 0.0000 0.5000
4 Sr 0.5000 0.5000 0.5000
5 Li 0.0000 0.5000 0.5000
6 Li 0.5000 0.5000 0.0000
7 Bi 0.0000 0.0000 0.5000
8 Bi 0.0000 0.5000 0.0000
9 S 0.2314 0.7419 0.4896
10 S 0.2446 0.2528 0.5081
11 S 0.2446 0.7365 0.9919
12 S 0.2477 0.2581 0.9896
13 S 0.7523 0.7419 0.0104
14 S 0.7554 0.2635 0.0081
15 S 0.7554 0.7472 0.4919
16 S 0.7686 0.2581 0.5104

---

# LiTm4BiS8
Computed powder X-ray diffraction pattern, Cu Kα, 1.54184 Å. Input: a DFT-relaxed cell (PBE, Alexandria).

Main lines, low angle first (10° ≤ 2θ ≤ 90°):
| two_theta | I_rel |
| --- | --- |
| 13.66 | 69 |
| 26.01 | 52 |
| 26.25 | 100 |
| 27.52 | 39 |
| 31.75 | 78 |
| 41.65 | 36 |
| 45.23 | 57 |
| 45.81 | 58 |

Structural model:
Unit cell a=8.0205 b=8.0205 c=8.0205 alpha=59.20 beta=59.20 gamma=59.20
Atoms (fractional coordinates):
1 Li 0.0000 0.0000 0.0000
2 Tm 0.1187 0.6338 0.6338
3 Tm 0.2555 0.2555 0.2555
4 Tm 0.6338 0.1187 0.6338
5 Tm 0.6338 0.6338 0.1187
6 Bi 0.6380 0.6380 0.6380
7 S 0.3796 0.3796 0.8590
8 S 0.3796 0.8590 0.3796
9 S 0.3880 0.3880 0.3880
10 S 0.3966 0.8792 0.8792
11 S 0.8590 0.3796 0.3796
12 S 0.8708 0.8708 0.8708
13 S 0.8792 0.3966 0.8792
14 S 0.8792 0.8792 0.3966

---

# Li5BiSb2
Computed powder X-ray diffraction pattern, Cu Kα, 1.54184 Å. Input: a DFT-relaxed cell (PBE, Alexandria).

Main lines, low angle first (10° ≤ 2θ ≤ 90°):
| two_theta | I_rel |
| --- | --- |
| 13.66 | 72 |
| 20.83 | 56 |
| 21.60 | 17 |
| 28.65 | 100 |
| 30.18 | 17 |
| 41.68 | 40 |
| 41.98 | 18 |
| 42.38 | 19 |

Structural model:
Unit cell a=4.5176 b=8.5300 c=9.9699 alpha=90.00 beta=90.00 gamma=90.00
Atoms (fractional coordinates):
1 Li 0.0000 0.0000 0.0000
2 Li 0.0000 0.3197 0.3129
3 Li 0.0000 0.3197 0.6871
4 Li 0.0000 0.6803 0.3129
5 Li 0.0000 0.6803 0.6871
6 Li 0.5000 0.1803 0.1871
7 Li 0.5000 0.1803 0.8129
8 Li 0.5000 0.5000 0.5000
9 Li 0.5000 0.8197 0.1871
10 Li 0.5000 0.8197 0.8129
11 Bi 0.0000 0.5000 0.0000
12 Bi 0.5000 0.0000 0.5000
13 Sb 0.0000 0.0000 0.2659
14 Sb 0.0000 0.0000 0.7341
15 Sb 0.5000 0.5000 0.2341
16 Sb 0.5000 0.5000 0.7659

---

# Li7Bi2Sb
Computed powder X-ray diffraction pattern, Cu Kα, 1.54184 Å. Input: a DFT-relaxed cell (PBE, Alexandria).

Main lines, low angle first (10° ≤ 2θ ≤ 90°):
| two_theta | I_rel |
| --- | --- |
| 22.77 | 33 |
| 23.39 | 100 |
| 26.90 | 64 |
| 38.01 | 34 |
| 38.79 | 31 |
| 44.77 | 17 |
| 45.45 | 33 |
| 45.79 | 17 |

Structural model:
Unit cell a=4.6427 b=4.6427 c=11.7148 alpha=90.00 beta=90.00 gamma=120.00
Atoms (fractional coordinates):
1 Li 0.0000 0.0000 0.0000
2 Li 0.0000 0.0000 0.2441
3 Li 0.0000 0.0000 0.7368
4 Li 0.3333 0.6667 0.3898
5 Li 0.3333 0.6667 0.9078
6 Li 0.6667 0.3333 0.0925
7 Li 0.6667 0.3333 0.5872
8 Bi 0.0000 0.0000 0.4910
9 Bi 0.6667 0.3333 0.8375
10 Sb 0.3333 0.6667 0.1471

---

# Li4Bi2Sb
Computed powder X-ray diffraction pattern, Cu Kα, 1.54184 Å. Input: a DFT-relaxed cell (PBE, Alexandria).

Main lines, low angle first (10° ≤ 2θ ≤ 90°):
| two_theta | I_rel |
| --- | --- |
| 19.27 | 18 |
| 19.44 | 70 |
| 29.20 | 100 |
| 29.71 | 25 |
| 35.76 | 36 |
| 40.63 | 42 |
| 52.41 | 20 |
| 57.94 | 15 |

Structural model:
Unit cell a=7.3694 b=6.5198 c=5.4666 alpha=75.30 beta=58.85 gamma=45.85
Atoms (fractional coordinates):
1 Li 0.0000 0.0000 0.5000
2 Li 0.2500 0.2500 0.2500
3 Li 0.5000 0.5000 0.0000
4 Li 0.7500 0.7500 0.7500
5 Bi 0.1447 0.1447 0.8553
6 Bi 0.8553 0.8553 0.1447
7 Sb 0.5000 0.5000 0.5000

---

# Li4BiSb
Computed powder X-ray diffraction pattern, Cu Kα, 1.54184 Å. Input: a DFT-relaxed cell (PBE, Alexandria).

Main lines, low angle first (10° ≤ 2θ ≤ 90°):
| two_theta | I_rel |
| --- | --- |
| 23.41 | 100 |
| 26.77 | 32 |
| 27.74 | 14 |
| 38.21 | 16 |
| 38.93 | 31 |
| 45.30 | 35 |
| 46.54 | 16 |
| 61.74 | 14 |

Structural model:
Unit cell a=4.7103 b=4.7103 c=6.4317 alpha=90.00 beta=90.00 gamma=90.00
Atoms (fractional coordinates):
1 Li 0.0000 0.5000 0.2341
2 Li 0.0000 0.5000 0.7659
3 Li 0.5000 0.0000 0.2341
4 Li 0.5000 0.0000 0.7659
5 Bi 0.0000 0.0000 0.5000
6 Sb 0.5000 0.5000 0.0000

---

# LiSc3Bi3
Computed powder X-ray diffraction pattern, Cu Kα, 1.54184 Å. Input: a DFT-relaxed cell (PBE, Alexandria).

Main lines, low angle first (10° ≤ 2θ ≤ 90°):
| two_theta | I_rel |
| --- | --- |
| 24.48 | 100 |
| 31.77 | 73 |
| 37.79 | 48 |
| 45.54 | 37 |
| 47.90 | 24 |
| 52.37 | 30 |
| 64.49 | 33 |
| 78.99 | 25 |

Structural model:
Unit cell a=8.9076 b=8.9076 c=8.9076 alpha=90.00 beta=90.00 gamma=90.00
Atoms (fractional coordinates):
1 Li 0.0790 0.4210 0.5790
2 Li 0.4210 0.5790 0.0790
3 Li 0.5790 0.0790 0.4210
4 Li 0.9210 0.9210 0.9210
5 Sc 0.0816 0.5816 0.9184
6 Sc 0.1703 0.1703 0.1703
7 Sc 0.1804 0.8196 0.3196
8 Sc 0.3196 0.1804 0.8196
9 Sc 0.3297 0.8297 0.6703
10 Sc 0.4184 0.4184 0.4184
11 Sc 0.5816 0.9184 0.0816
12 Sc 0.6703 0.3297 0.8297
13 Sc 0.6804 0.6804 0.6804
14 Sc 0.8196 0.3196 0.1804
15 Sc 0.8297 0.6703 0.3297
16 Sc 0.9184 0.0816 0.5816
17 Bi 0.0035 0.7505 0.6209
18 Bi 0.1209 0.4965 0.2495
19 Bi 0.2495 0.1209 0.4965
20 Bi 0.2505 0.8791 0.9965
21 Bi 0.3791 0.5035 0.7495
22 Bi 0.4965 0.2495 0.1209
23 Bi 0.5035 0.7495 0.3791
24 Bi 0.6209 0.0035 0.7505
25 Bi 0.7495 0.3791 0.5035
26 Bi 0.7505 0.6209 0.0035
27 Bi 0.8791 0.9965 0.2505
28 Bi 0.9965 0.2505 0.8791

---

# LiBiSe3
Computed powder X-ray diffraction pattern, Cu Kα, 1.54184 Å. Input: a DFT-relaxed cell (PBE, Alexandria).

Main lines, low angle first (10° ≤ 2θ ≤ 90°):
| two_theta | I_rel |
| --- | --- |
| 15.14 | 100 |
| 23.88 | 64 |
| 27.85 | 37 |
| 29.22 | 48 |
| 30.40 | 63 |
| 33.94 | 29 |
| 38.46 | 51 |
| 39.26 | 32 |

Structural model:
Unit cell a=10.0407 b=10.0407 c=6.4626 alpha=101.36 beta=101.36 gamma=26.42
Atoms (fractional coordinates):
1 Li 0.2086 0.2086 0.3831
2 Li 0.7914 0.7914 0.6169
3 Bi 0.3832 0.3832 0.2166
4 Bi 0.6168 0.6168 0.7834
5 Se 0.0139 0.0139 0.6854
6 Se 0.2130 0.2130 0.9786
7 Se 0.3447 0.3447 0.5816
8 Se 0.6553 0.6553 0.4184
9 Se 0.7870 0.7870 0.0214
10 Se 0.9861 0.9861 0.3146

---

# Li2BiTeSe4
Computed powder X-ray diffraction pattern, Cu Kα, 1.54184 Å. Input: a DFT-relaxed cell (PBE, Alexandria).

Main lines, low angle first (10° ≤ 2θ ≤ 90°):
| two_theta | I_rel |
| --- | --- |
| 12.91 | 100 |
| 26.01 | 34 |
| 29.42 | 83 |
| 31.15 | 77 |
| 31.47 | 76 |
| 43.62 | 56 |
| 44.68 | 35 |
| 44.87 | 62 |

Structural model:
Unit cell a=8.0882 b=8.0882 c=8.1233 alpha=118.19 beta=118.19 gamma=89.32
Atoms (fractional coordinates):
1 Li 0.0000 0.0000 0.0000
2 Li 0.0000 0.0000 0.5000
3 Li 0.0000 0.5000 0.0000
4 Li 0.5000 0.0000 0.5000
5 Bi 0.5000 0.5000 0.0000
6 Bi 0.5000 0.5000 0.5000
7 Te 0.0000 0.5000 0.5000
8 Te 0.5000 0.0000 0.0000
9 Se 0.2096 0.7249 0.4513
10 Se 0.2459 0.2502 0.5110
11 Se 0.2502 0.2459 0.0110
12 Se 0.2751 0.7904 0.0487
13 Se 0.7249 0.2096 0.9513
14 Se 0.7498 0.7541 0.9890
15 Se 0.7541 0.7498 0.4890
16 Se 0.7904 0.2751 0.5487